1.
This entry pairs a crystal structure of RbC8 with its simulated XRD peak list. Radiation: Cu Kα. Structure: a GGA-PBE-relaxed structure.
Peak positions follow from Bragg's law for the DFT cell and can differ from measured ones.

Lattice parameters (Å, degrees): 12.211 11.693 4.979 83.89 72.19 23.92
Positions (direct):
Rb 0.125 0.125 0.125
Rb 0.875 0.875 0.875
C 0.083 0.417 0.833
C 0.084 0.418 0.333
C 0.167 0.833 0.417
C 0.167 0.833 0.917
C 0.333 0.666 0.084
C 0.334 0.667 0.582
C 0.417 0.083 0.167
C 0.418 0.084 0.666
C 0.582 0.916 0.334
C 0.583 0.917 0.833
C 0.666 0.333 0.418
C 0.667 0.334 0.916
C 0.833 0.167 0.083
C 0.833 0.167 0.583
C 0.916 0.582 0.667
C 0.917 0.583 0.167

Principal peaks in the range 10 to 80 degrees two-theta, in order of falling intensity:
2θ (°), Rel. int.
31.3, 100
21.0, 89
44.9, 84
22.0, 79
23.7, 66
28.5, 42
65.4, 31
41.3, 30

2.
This entry pairs a crystal structure of Na2BeGeO4 with its simulated XRD peak list. Radiation: Cu Kα. Structure: a GGA-PBE-relaxed structure.
Peak positions follow from Bragg's law for the DFT cell and can differ from measured ones.

Lattice parameters (Å, degrees): 7.286 5.084 10.246 90.00 90.46 90.00
Positions (direct):
Na 0.001 0.207 0.391
Na 0.001 0.293 0.891
Na 0.262 0.681 0.361
Na 0.262 0.819 0.861
Na 0.738 0.181 0.139
Na 0.738 0.319 0.639
Na 0.999 0.707 0.109
Na 0.999 0.793 0.609
Be 0.499 0.656 0.087
Be 0.499 0.844 0.587
Be 0.501 0.156 0.413
Be 0.501 0.344 0.913
Ge 0.280 0.155 0.159
Ge 0.280 0.345 0.659
Ge 0.720 0.655 0.341
Ge 0.720 0.845 0.841
O 0.052 0.236 0.122
O 0.052 0.264 0.622
O 0.313 0.686 0.625
O 0.313 0.814 0.125
O 0.315 0.217 0.329
O 0.315 0.283 0.829
O 0.453 0.168 0.574
O 0.453 0.332 0.074
O 0.547 0.668 0.926
O 0.547 0.832 0.426
O 0.685 0.717 0.171
O 0.685 0.783 0.671
O 0.687 0.186 0.875
O 0.687 0.314 0.375
O 0.948 0.736 0.378
O 0.948 0.764 0.878

Principal peaks in the range 10 to 80 degrees two-theta, in order of falling intensity:
2θ (°), Rel. int.
21.3, 100
35.0, 89
35.3, 49
23.0, 49
21.1, 43
24.7, 43
36.4, 38
30.2, 36

3.
This entry pairs a crystal structure of LiLa2ZnCd6 with its simulated XRD peak list. Radiation: Cu Kα. Structure: a GGA-PBE-relaxed structure.
Peak positions follow from Bragg's law for the DFT cell and can differ from measured ones.

Lattice parameters (Å, degrees): 7.068 7.068 7.068 119.94 119.94 89.94
Positions (direct):
Li 0.000 0.000 0.000
La 0.250 0.750 0.500
La 0.750 0.250 0.500
Zn 0.500 0.500 0.000
Cd 0.242 0.242 0.000
Cd 0.242 0.242 0.485
Cd 0.243 0.757 0.000
Cd 0.757 0.243 0.000
Cd 0.758 0.758 0.000
Cd 0.758 0.758 0.515

Principal peaks in the range 10 to 80 degrees two-theta, in order of falling intensity:
2θ (°), Rel. int.
31.0, 100
35.9, 46
51.7, 39
36.0, 23
61.5, 20
61.4, 13
51.6, 8
64.5, 8

4.
This entry pairs a crystal structure of ErZr4Sc4 with its simulated XRD peak list. Radiation: Cu Kα. Structure: a GGA-PBE-relaxed structure.
Peak positions follow from Bragg's law for the DFT cell and can differ from measured ones.

Lattice parameters (Å, degrees): 5.607 8.019 10.634 73.08 77.55 76.49
Positions (direct):
Er 0.083 0.258 0.249
Er 0.917 0.742 0.751
Zr 0.338 0.581 0.251
Zr 0.384 0.691 0.922
Zr 0.435 0.088 0.737
Zr 0.461 0.808 0.581
Zr 0.539 0.192 0.419
Zr 0.565 0.912 0.263
Zr 0.616 0.309 0.078
Zr 0.662 0.419 0.749
Sc 0.006 0.863 0.417
Sc 0.157 0.352 0.911
Sc 0.165 0.962 0.095
Sc 0.238 0.470 0.578
Sc 0.762 0.530 0.422
Sc 0.835 0.038 0.905
Sc 0.843 0.648 0.089
Sc 0.994 0.137 0.583

Principal peaks in the range 10 to 80 degrees two-theta, in order of falling intensity:
2θ (°), Rel. int.
34.5, 100
35.1, 46
36.9, 39
36.5, 36
32.2, 25
35.6, 24
12.8, 23
37.5, 19

5.
This entry pairs a crystal structure of CdGa2Sn2 with its simulated XRD peak list. Radiation: Cu Kα. Structure: a GGA-PBE-relaxed structure.
Peak positions follow from Bragg's law for the DFT cell and can differ from measured ones.

Lattice parameters (Å, degrees): 3.835 3.835 16.699 90.00 90.00 90.00
Positions (direct):
Cd 0.000 0.000 0.000
Cd 0.500 0.500 0.500
Ga 0.000 0.500 0.250
Ga 0.000 0.500 0.750
Ga 0.500 0.000 0.250
Ga 0.500 0.000 0.750
Sn 0.000 0.000 0.389
Sn 0.000 0.000 0.611
Sn 0.500 0.500 0.111
Sn 0.500 0.500 0.889

Principal peaks in the range 10 to 80 degrees two-theta, in order of falling intensity:
2θ (°), Rel. int.
35.6, 100
28.3, 88
34.8, 84
47.4, 48
39.6, 43
60.7, 43
66.2, 28
65.7, 28

6.
This entry pairs a crystal structure of Ag2PO6 with its simulated XRD peak list. Radiation: Cu Kα. Structure: a GGA-PBE-relaxed structure.
Peak positions follow from Bragg's law for the DFT cell and can differ from measured ones.

Lattice parameters (Å, degrees): 4.783 4.783 9.155 90.00 90.00 90.00
Positions (direct):
Ag 0.000 0.000 0.168
Ag 0.000 0.000 0.832
Ag 0.500 0.500 0.332
Ag 0.500 0.500 0.668
P 0.000 0.000 0.500
P 0.500 0.500 0.000
O 0.168 0.168 0.365
O 0.168 0.168 0.635
O 0.240 0.240 0.000
O 0.260 0.740 0.500
O 0.332 0.668 0.135
O 0.332 0.668 0.865
O 0.668 0.332 0.135
O 0.668 0.332 0.865
O 0.740 0.260 0.500
O 0.760 0.760 0.000
O 0.832 0.832 0.365
O 0.832 0.832 0.635

Principal peaks in the range 10 to 80 degrees two-theta, in order of falling intensity:
2θ (°), Rel. int.
26.4, 100
34.9, 65
52.2, 55
37.6, 18
66.1, 17
54.2, 15
21.0, 15
67.3, 14

7.
This entry pairs a crystal structure of TbPuTe2O with its simulated XRD peak list. Radiation: Cu Kα. Structure: a GGA-PBE-relaxed structure.
Peak positions follow from Bragg's law for the DFT cell and can differ from measured ones.

Lattice parameters (Å, degrees): 4.167 4.167 15.651 90.00 90.00 90.00
Positions (direct):
Tb 0.250 0.250 0.132
Tb 0.750 0.750 0.868
Pu 0.250 0.250 0.569
Pu 0.750 0.750 0.431
Te 0.250 0.250 0.319
Te 0.250 0.250 0.915
Te 0.750 0.750 0.085
Te 0.750 0.750 0.681
O 0.250 0.750 0.500
O 0.750 0.250 0.500

Principal peaks in the range 10 to 80 degrees two-theta, in order of falling intensity:
2θ (°), Rel. int.
30.3, 100
35.9, 68
27.4, 55
43.4, 42
57.6, 35
38.2, 24
31.4, 23
11.3, 23

8.
This entry pairs a crystal structure of K2La2SbO6 with its simulated XRD peak list. Radiation: Cu Kα. Structure: a GGA-PBE-relaxed structure.
Peak positions follow from Bragg's law for the DFT cell and can differ from measured ones.

Lattice parameters (Å, degrees): 6.213 6.213 6.667 97.64 97.64 119.39
Positions (direct):
K 0.156 0.844 0.000
K 0.844 0.156 0.000
La 0.335 0.665 0.500
La 0.665 0.335 0.500
Sb 0.000 0.000 0.500
O 0.042 0.356 0.673
O 0.240 0.240 0.320
O 0.356 0.042 0.673
O 0.644 0.958 0.327
O 0.760 0.760 0.680
O 0.958 0.644 0.327

Principal peaks in the range 10 to 80 degrees two-theta, in order of falling intensity:
2θ (°), Rel. int.
13.8, 100
33.9, 53
30.5, 33
27.7, 26
35.0, 25
29.0, 23
29.5, 19
50.6, 17

9.
This entry pairs a crystal structure of YSc3P4 with its simulated XRD peak list. Radiation: Cu Kα. Structure: a GGA-PBE-relaxed structure.
Peak positions follow from Bragg's law for the DFT cell and can differ from measured ones.

Lattice parameters (Å, degrees): 7.644 10.814 3.828 90.00 90.00 90.00
Positions (direct):
Y 0.000 0.000 0.000
Y 0.500 0.500 0.000
Sc 0.000 0.500 0.000
Sc 0.250 0.250 0.500
Sc 0.250 0.750 0.500
Sc 0.500 0.000 0.000
Sc 0.750 0.250 0.500
Sc 0.750 0.750 0.500
P 0.000 0.255 0.000
P 0.000 0.745 0.000
P 0.239 0.500 0.500
P 0.261 0.000 0.500
P 0.500 0.245 0.000
P 0.500 0.755 0.000
P 0.739 0.000 0.500
P 0.761 0.500 0.500

Principal peaks in the range 10 to 80 degrees two-theta, in order of falling intensity:
2θ (°), Rel. int.
33.1, 100
47.5, 67
79.2, 23
59.2, 22
28.6, 17
69.5, 10
56.4, 7
27.3, 6